Entry 1:
For KMgAlSb2, a DFT-relaxed cell (GGA-PBE, Alexandria) gives the simulated XRD peak list in this record (λ = 1.5418 Å (Cu Kα)).

Structure:
```
data_KMgAlSb2
_symmetry_space_group_name_H-M 'C 1 2/m 1'
_symmetry_Int_Tables_number 12
_cell_length_a 14.8264
_cell_length_b 4.4955
_cell_length_c 11.5222
_cell_angle_alpha 90.00
_cell_angle_beta 122.46
_cell_angle_gamma 90.00
loop_
_symmetry_equiv_pos_as_xyz
'x,y,z'
'-x,-y,-z'
'-x,y,-z'
'x,-y,z'
'x+1/2,y+1/2,z'
'-x+1/2,-y+1/2,-z'
'-x+1/2,y+1/2,-z'
'x+1/2,-y+1/2,z'
loop_
_atom_site_label
_atom_site_fract_x
_atom_site_fract_y
_atom_site_fract_z
K1 0.1796 0.0000 0.1356
Mg1 0.1457 0.5000 0.4182
Al1 0.0349 0.0000 0.6872
Sb1 0.0529 0.5000 0.8369
Sb2 0.1570 0.0000 0.5751
```

Largest 10 diffraction maxima, sorted by position, 2θ = 10–90°:
2theta	Rel. int.
20.60	36
21.33	28
24.20	74
24.42	21
25.28	100
29.21	39
37.91	26
40.12	29
40.55	56
47.39	28

=====

Entry 2:
For K2MgAlTe4, a DFT-relaxed cell (GGA-PBE, Alexandria) gives the simulated XRD peak list in this record (λ = 1.5418 Å (Cu Kα)).

Structure:
```
data_K2MgAlTe4
_symmetry_space_group_name_H-M 'I -4 2 m'
_symmetry_Int_Tables_number 121
_symmetry_space_group_name_Hall 'I -4 2'
_cell_length_a 8.4974
_cell_length_b 8.4974
_cell_length_c 7.4856
_cell_angle_alpha 90.00
_cell_angle_beta 90.00
_cell_angle_gamma 90.00
loop_
_atom_site_label
_atom_site_fract_x
_atom_site_fract_y
_atom_site_fract_z
K1 0.0000 0.5000 0.0000
Mg1 0.0000 0.0000 0.0000
Al1 0.0000 0.0000 0.5000
Te1 0.1677 0.1677 0.2672
```

Largest 10 diffraction maxima, sorted by position, 2θ = 10–90°:
2theta	Rel. int.
23.77	14
26.30	100
29.74	10
31.86	33
33.34	15
41.36	10
43.38	24
45.66	23
51.77	15
58.05	14

=====

Entry 3:
For KAlMo2, a DFT-relaxed cell (GGA-PBE, Alexandria) gives the simulated XRD peak list in this record (λ = 1.5418 Å (Cu Kα)).

Structure:
```
data_KAlMo2
_symmetry_space_group_name_H-M 'C m m 2'
_symmetry_Int_Tables_number 35
_cell_length_a 3.2563
_cell_length_b 4.6924
_cell_length_c 10.3486
_cell_angle_alpha 90.00
_cell_angle_beta 90.00
_cell_angle_gamma 90.00
loop_
_symmetry_equiv_pos_as_xyz
'x,y,z'
'-x,-y,z'
'-x,y,z'
'x,-y,z'
'x+1/2,y+1/2,z'
'-x+1/2,-y+1/2,z'
'-x+1/2,y+1/2,z'
'x+1/2,-y+1/2,z'
loop_
_atom_site_label
_atom_site_fract_x
_atom_site_fract_y
_atom_site_fract_z
K1 0.0000 0.0000 0.0000
Al1 0.0000 0.5000 0.7099
Mo1 0.0000 0.0000 0.4989
Mo2 0.0000 0.5000 0.3033
```

Largest 10 diffraction maxima, sorted by position, 2θ = 10–90°:
2theta	Rel. int.
17.14	12
34.66	29
37.86	100
38.37	28
39.38	11
42.77	32
48.98	12
52.66	11
69.04	16
82.89	11

=====

Entry 4:
For KNaAlN, a DFT-relaxed cell (GGA-PBE, Alexandria) gives the simulated XRD peak list in this record (λ = 1.5418 Å (Cu Kα)).

Structure:
```
data_KNaAlN
_symmetry_space_group_name_H-M 'A m m 2'
_symmetry_Int_Tables_number 38
_cell_length_a 3.2307
_cell_length_b 4.2128
_cell_length_c 14.2216
_cell_angle_alpha 90.00
_cell_angle_beta 90.00
_cell_angle_gamma 90.00
loop_
_symmetry_equiv_pos_as_xyz
'x,y,z'
'-x,-y,z'
'-x,y,z'
'x,-y,z'
'x,y+1/2,z+1/2'
'-x,-y+1/2,z+1/2'
'-x,y+1/2,z+1/2'
'x,-y+1/2,z+1/2'
loop_
_atom_site_label
_atom_site_fract_x
_atom_site_fract_y
_atom_site_fract_z
K1 0.0000 0.0000 0.0000
Na1 0.5000 0.0000 0.2819
Al1 0.0000 0.0000 0.6667
N1 0.5000 0.0000 0.6046
```

Largest 10 diffraction maxima, sorted by position, 2θ = 10–90°:
2theta	Rel. int.
12.45	41
28.34	100
30.39	24
35.58	40
37.62	14
39.98	29
42.94	19
47.58	20
64.87	15
69.91	20

=====

Entry 5:
For KAl2NO2, a DFT-relaxed cell (GGA-PBE, Alexandria) gives the simulated XRD peak list in this record (λ = 1.5418 Å (Cu Kα)).

Structure:
```
data_KAl2NO2
_symmetry_space_group_name_H-M 'P 1 21/m 1'
_symmetry_Int_Tables_number 11
_cell_length_a 5.3735
_cell_length_b 5.0343
_cell_length_c 6.4464
_cell_angle_alpha 90.00
_cell_angle_beta 94.20
_cell_angle_gamma 90.00
loop_
_symmetry_equiv_pos_as_xyz
'x,y,z'
'-x,-y,-z'
'-x,y+1/2,-z'
'x,-y+1/2,z'
loop_
_atom_site_label
_atom_site_fract_x
_atom_site_fract_y
_atom_site_fract_z
K1 0.2321 0.2500 0.0711
Al1 0.2305 0.5110 0.5772
N1 0.0275 0.7500 0.3970
O1 0.2724 0.7500 0.7883
O2 0.4563 0.2500 0.5464
```

Largest 10 diffraction maxima, sorted by position, 2θ = 10–90°:
2theta	Rel. int.
13.77	100
22.40	39
27.75	45
31.38	41
33.06	55
33.44	50
38.40	39
39.74	41
52.56	59
58.17	38

=====

Entry 6:
For KPuAlN3, a DFT-relaxed cell (GGA-PBE, Alexandria) gives the simulated XRD peak list in this record (λ = 1.5418 Å (Cu Kα)).

Structure:
```
data_KPuAlN3
_symmetry_space_group_name_H-M 'P 1 21/m 1'
_symmetry_Int_Tables_number 11
_cell_length_a 7.8310
_cell_length_b 3.4628
_cell_length_c 8.1226
_cell_angle_alpha 90.00
_cell_angle_beta 104.86
_cell_angle_gamma 90.00
loop_
_symmetry_equiv_pos_as_xyz
'x,y,z'
'-x,-y,-z'
'-x,y+1/2,-z'
'x,-y+1/2,z'
loop_
_atom_site_label
_atom_site_fract_x
_atom_site_fract_y
_atom_site_fract_z
K1 0.1996 0.2500 0.2181
Pu1 0.3428 0.7500 0.8484
Al1 0.0904 0.2500 0.6003
N1 0.1510 0.7500 0.5355
N2 0.1660 0.2500 0.8406
N3 0.4807 0.7500 0.1290
```

Largest 10 diffraction maxima, sorted by position, 2θ = 10–90°:
2theta	Rel. int.
11.27	39
11.69	18
14.02	100
28.20	64
28.69	16
31.72	19
34.26	15
34.54	25
35.00	23
35.13	26